LiSnPO4: simulated powder diffractogram (λ = 1.5418 Å (Cu Kα)), based on the GGA-PBE geometry in the Materials Project.
Peak positions follow from Bragg's law for the DFT cell and can differ from measured ones.

Largest 10 diffraction maxima, by intensity, 2θ from 10° to 90°:
- d 2.862, 31.3°, intensity 100, (2 0 2)
- d 3.146, 28.4°, intensity 86, (2 -1 2)
- d 5.137, 17.3°, intensity 53, (0 0 2)
- d 1.791, 51.0°, intensity 46, (4 -1 2)
- d 1.533, 60.4°, intensity 41, (4 -1 4)
- d 3.979, 22.3°, intensity 38, (1 1 0)
- d 1.911, 47.6°, intensity 35, (3 1 0)
- d 3.446, 25.9°, intensity 34, (2 0 0)
- d 2.059, 44.0°, intensity 30, (2 0 4)
- d 2.323, 38.8°, intensity 25, (2 1 2)

Structure:
```
data_LiSnPO4
_chemical_formula_sum 'Li6 Sn6 P6 O24'
_cell_length_a 7.9576
_cell_length_b 7.9576
_cell_length_c 10.2731
_cell_angle_alpha 90.00
_cell_angle_beta 90.00
_cell_angle_gamma 120.00
_symmetry_space_group_name_H-M 'P 3 1 c'
_symmetry_Int_Tables_number 159
_symmetry_space_group_name_Hall 'P 3 -2c'
loop_
_atom_site_label
_atom_site_type_symbol
_atom_site_fract_x
_atom_site_fract_y
_atom_site_fract_z
Li1 Li 0.0214 0.2327 0.0000
Sn1 Sn 0.0057 0.5746 0.2216
P1 P 0.0000 0.0000 0.2480
P2 P 0.3333 0.6667 0.5026
P3 P 0.3333 0.6667 0.9433
O1 O 0.0000 0.0000 0.3986
O2 O 0.0979 0.8872 0.1914
O3 O 0.2222 0.7697 0.8928
O4 O 0.2241 0.4536 0.5553
O5 O 0.3333 0.6667 0.0942
O6 O 0.3333 0.6667 0.3523
```